Structure and simulated X-ray powder pattern of Cs4Ag2AsP (a structure optimized by DFT (PBE); Cu Kα).
Lines closer than 0.1° are merged.

Cell and atoms:
a = 6.5678 Å, b = 11.1629 Å, c = 8.1363 Å
α = 90.00°, β = 90.00°, γ = 90.00°
Space group Amm2 (No. 38)
Asymmetric unit:
1 Cs 0.0000 0.1691 0.0000
2 Cs 0.5000 0.1710 0.2982
3 Ag 0.2562 0.0000 0.6552
4 As 0.0000 0.0000 0.4160
5 P 0.5000 0.0000 0.8853

Principal peaks in the range 5 to 70 degrees two-theta, in order of rising 2θ:
3.458 Å, 25.76°, I = 71; 3.384 Å, 26.34°, I = 73; 3.285 Å, 27.14°, I = 28; 3.008 Å, 29.70°, I = 100; 2.938 Å, 30.42°, I = 67; 2.830 Å, 31.61°, I = 24; 2.635 Å, 34.02°, I = 24; 2.555 Å, 35.12°, I = 27; 1.838 Å, 49.60°, I = 25; 1.823 Å, 50.04°, I = 51

=====

Structure and simulated X-ray powder pattern of ReSnS3 (a structure optimized by DFT (PBE); Cu Kα).
Lines closer than 0.1° are merged.

Cell and atoms:
a = 8.1004 Å, b = 3.5106 Å, c = 14.5163 Å
α = 90.00°, β = 90.00°, γ = 90.00°
Space group Pnma (No. 62)
Asymmetric unit:
1 Re 0.1152 0.2500 0.0417
2 Sn 0.0103 0.2500 0.6584
3 S 0.0438 0.2500 0.8860
4 S 0.1838 0.2500 0.5007
5 S 0.2397 0.7500 0.6934

Principal peaks in the range 5 to 70 degrees two-theta, in order of rising 2θ:
7.258 Å, 12.19°, I = 79; 7.074 Å, 12.51°, I = 59; 5.406 Å, 16.40°, I = 37; 4.154 Å, 21.39°, I = 100; 2.944 Å, 30.36°, I = 52; 2.653 Å, 33.78°, I = 64; 2.610 Å, 34.37°, I = 37; 2.492 Å, 36.05°, I = 51; 2.237 Å, 40.31°, I = 52; 1.958 Å, 46.38°, I = 38

=====

Structure and simulated X-ray powder pattern of TcCl4 (a structure optimized by DFT (PBE); Cu Kα).
Lines closer than 0.1° are merged.

Cell and atoms:
a = 6.7080 Å, b = 8.1990 Å, c = 9.1362 Å
α = 90.00°, β = 90.00°, γ = 90.00°
Space group Immm (No. 71)
Asymmetric unit:
1 Tc 0.2253 0.0000 0.0000
2 Cl 0.0000 0.0000 0.2009
3 Cl 0.0000 0.5000 0.3258
4 Cl 0.2402 0.2795 0.0000

Principal peaks in the range 5 to 70 degrees two-theta, in order of rising 2θ:
6.102 Å, 14.52°, I = 100; 4.568 Å, 19.43°, I = 29; 4.099 Å, 21.68°, I = 16; 2.704 Å, 33.14°, I = 46; 2.618 Å, 34.25°, I = 24; 2.174 Å, 41.54°, I = 24; 2.064 Å, 43.87°, I = 10; 2.050 Å, 44.19°, I = 10; 1.739 Å, 52.62°, I = 18; 1.633 Å, 56.33°, I = 15